VGaFe2O6: calculated powder XRD pattern (Cu Kα, 1.54184 Å), based on a DFT-relaxed cell (PBE+U, Alexandria).

Structural model:
Cell: 5.0090 5.0981 5.4185 Å, 94.08 114.60 118.34°
Space group P1 (No. 1)
Symmetry-distinct sites (fractional):
V (0.0000, 0.0000, 0.0000)
Ga (0.0614, 0.5207, 0.5671)
Fe (0.5808, 0.8044, 0.3814)
Fe (0.6108, 0.3183, 0.9237)
O (0.0629, 0.3878, 0.2110)
O (0.1264, 0.2232, 0.7214)
O (0.4475, 0.1077, 0.1788)
O (0.5049, 0.9166, 0.7144)
O (0.7914, 0.7236, 0.1739)
O (0.8039, 0.5882, 0.7102)

The 6 most intense peaks (15° ≤ 2θ ≤ 90°), by angle:
| d (Å) | I_rel | hkl |
| --- | --- | --- |
| 2.808 | 100 | 1 -1 1 |
| 2.705 | 79 | 0 1 1 |
| 2.684 | 71 | 1 0 -2 |
| 2.590 | 70 | 1 1 -1 |
| 2.543 | 68 | 1 -2 0 |
| 2.499 | 51 | -2 1 1 |